Record 1
Structure and calculated X-ray powder pattern of BaYMgFeCuO5 (a crystal structure in the Materials Project, relaxed with GGA+U; Cu Kα).
Kinematic intensities with the Lorentz-polarization factor, no thermal factor.

```
10
Lattice="3.9744 0.0000 0.0000 0.0000 4.0287 0.0000 0.0000 0.0000 9.8712" Properties=species:S:1:pos:R:3 pbc="T T T"
Ba 0.0000 0.0000 0.0000
Y 0.0000 0.0000 3.4551
Mg 1.9872 0.0000 6.8884
Fe 1.9872 2.0144 5.1016
Cu 1.9872 2.0144 1.7804
O 0.0000 2.0144 1.5481
O 0.0000 2.0144 4.4669
O 1.9872 0.0000 1.9714
O 1.9872 0.0000 4.9176
O 1.9872 2.0144 7.3655
```

Most intense lines, 2θ from 10° to 90°, in order of rising 2θ:
hkl 1 0 1, 24.14 deg, rel. 39
hkl 1 0 2, 28.84 deg, rel. 62
hkl 1 1 0, 31.62 deg, rel. 78
hkl 0 1 3, 35.22 deg, rel. 100
hkl 1 0 3, 35.42 deg, rel. 81
hkl 0 2 0, 45.00 deg, rel. 39
hkl 2 0 0, 45.65 deg, rel. 37
hkl 2 1 3, 58.94 deg, rel. 43

=====

Record 2
Structure and calculated X-ray powder pattern of Na3NiBAsO7 (a crystal structure in the Materials Project, relaxed with GGA+U; Cu Kα).
Kinematic intensities with the Lorentz-polarization factor, no thermal factor.

```
26
Lattice="5.2161 0.0000 0.0000 0.0000 6.9577 0.0000 -0.3202 0.0000 8.9920" Properties=species:S:1:pos:R:3 pbc="T T T"
Na 1.2133 1.7394 0.7246
Na 1.0713 3.5019 6.7057
Na 1.0713 6.9346 6.7057
Na 3.8246 0.0230 2.2863
Na 3.8246 3.4558 2.2863
Na 3.6826 5.2182 8.2674
Ni 1.0074 5.2182 2.9925
Ni 3.8885 1.7394 5.9995
B 1.3866 5.2182 0.6068
B 3.5093 1.7394 8.3851
As 1.3522 1.7394 3.7935
As 3.5437 5.2182 5.1985
O 0.1372 5.2182 1.2064
O 0.4963 1.7394 5.2723
O 1.0336 0.4060 2.7650
O 1.0336 3.0728 2.7650
O 1.2711 5.2182 8.2723
O 1.8634 5.2182 4.7719
O 2.3895 5.2182 1.5635
O 2.5064 1.7394 7.4285
O 3.0325 1.7394 4.2201
O 3.6248 1.7394 0.7197
O 3.8623 3.8849 6.2269
O 3.8623 6.5516 6.2269
O 4.3996 5.2182 3.7197
O 4.7587 1.7394 7.7855
```

Most intense lines, 2θ from 10° to 90°, in order of rising 2θ:
hkl 1 0 -1, 19.38 deg, rel. 29
hkl 0 2 0, 25.64 deg, rel. 100
hkl 1 1 2, 29.62 deg, rel. 26
hkl 1 2 -1, 32.31 deg, rel. 37
hkl 0 2 2, 32.54 deg, rel. 45
hkl 1 2 1, 32.70 deg, rel. 25
hkl 2 0 0, 34.41 deg, rel. 44
hkl 0 4 0, 52.60 deg, rel. 34

=====

Record 3
Structure and calculated X-ray powder pattern of LiMn3OF8 (a crystal structure in the Materials Project, relaxed with GGA+U; Cu Kα).
Kinematic intensities with the Lorentz-polarization factor, no thermal factor.

```
52
Lattice="5.1379 0.0000 0.0000 0.0000 5.7353 0.0000 -3.8382 0.0000 22.8367" Properties=species:S:1:pos:R:3 pbc="T T T"
Li 0.0000 0.0739 0.0000
Li -1.9191 5.6614 11.4184
Li 0.8566 2.7775 1.5795
Li -1.0625 2.9578 12.9979
Mn -1.3121 0.1633 14.8882
Mn 0.6070 5.5720 3.4698
Mn -1.0680 0.1850 20.9774
Mn 0.8511 5.5503 9.5591
Mn 1.4358 1.3735 6.6154
Mn -0.4833 4.3618 18.0337
Mn 3.2180 2.6323 3.5195
Mn 1.2989 3.1030 14.9379
Mn 1.5755 2.0346 17.7834
Mn 3.4946 3.7008 6.3651
Mn 3.4724 2.7052 9.4997
Mn 1.5533 3.0302 20.9181
O 2.4573 2.6042 5.2712
O 0.5382 3.1311 16.6896
O 2.6513 2.6979 7.7480
O 0.7322 3.0374 19.1663
F -2.2044 0.0776 13.2664
F -0.2853 5.6577 1.8481
F -2.9656 0.3267 18.0224
F -1.0465 5.4086 6.6040
F -0.4697 1.2234 4.1625
F -2.3888 4.5119 15.5809
F -2.4574 1.6235 20.3216
F -0.5383 4.1119 8.9032
F -0.8357 2.7899 11.1795
F -2.7548 2.9454 22.5979
F -0.0062 2.7988 6.5053
F -1.9253 2.9366 17.9237
F -0.1291 1.2672 8.8286
F -2.0482 4.4681 20.2469
F -1.9519 0.0698 22.5934
F -0.0328 5.6655 11.1750
F -0.2555 1.6152 14.2377
F 1.6636 4.1201 2.8193
F 1.8985 1.4413 2.7415
F -0.0206 4.2941 14.1598
F -0.3699 0.1338 16.5452
F 1.5492 5.6015 5.1269
F -0.2024 0.2190 19.2853
F 1.7167 5.5163 7.8669
F 0.2190 1.4166 21.7133
F 2.1381 4.3187 10.2950
F 2.4110 1.2368 10.1706
F 0.4919 4.4985 21.5890
F 4.1210 2.7840 1.9055
F 2.2019 2.9513 13.3238
F 2.3331 1.6338 15.7180
F 4.2522 4.1015 4.2997
```

Most intense lines, 2θ from 10° to 90°, in order of rising 2θ:
hkl 0 0 4, 15.52 deg, rel. 39
hkl 1 1 0, 23.41 deg, rel. 100
hkl 1 1 -2, 23.76 deg, rel. 62
hkl 1 1 2, 25.63 deg, rel. 30
hkl 1 1 -4, 26.53 deg, rel. 34
hkl 1 0 -10, 40.59 deg, rel. 33
hkl 2 2 2, 49.65 deg, rel. 22
hkl 2 2 -6, 50.99 deg, rel. 35